This entry pairs a crystal structure of SrCeSbO6 with its calculated X-ray diffraction stick pattern. Radiation: a wavelength of 1.5418 Å. Structure: a crystal structure in Alexandria, relaxed with PBE.
Lines closer than 0.1° are merged.

Principal peaks in the range 2θ from 10° to 90°, by intensity:
24.84 deg, 3.584 Å, I 100, (1 0 2); 47.33 deg, 1.920 Å, I 53, (1 1 4); 31.10 deg, 2.876 Å, I 52, (1 1 0); 17.18 deg, 5.160 Å, I 32, (0 0 2); 51.68 deg, 1.769 Å, I 26, (2 1 2); 40.21 deg, 2.243 Å, I 26, (2 0 2); 35.74 deg, 2.512 Å, I 25, (1 1 2); 55.33 deg, 1.660 Å, I 19, (3 0 0)

Atomic structure:
```
data_SrCeSbO6
_symmetry_space_group_name_H-M 'P -3 1 c'
_symmetry_Int_Tables_number 163
_symmetry_space_group_name_Hall '-P 3 2c'
_cell_length_a 5.7515
_cell_length_b 5.7515
_cell_length_c 10.3204
_cell_angle_alpha 90.00
_cell_angle_beta 90.00
_cell_angle_gamma 120.00
loop_
_atom_site_label
_atom_site_type_symbol
_atom_site_fract_x
_atom_site_fract_y
_atom_site_fract_z
Sr1 Sr 0.0000 0.0000 0.0000
Ce1 Ce 0.3333 0.6667 0.2500
Sb1 Sb 0.3333 0.6667 0.7500
O1 O 0.0331 0.3810 0.6432
```

This entry pairs a crystal structure of AcNd3Tl3 with its calculated X-ray diffraction stick pattern. Radiation: a wavelength of 1.5418 Å. Structure: a crystal structure in Alexandria, relaxed with PBE.
Lines closer than 0.1° are merged.

Principal peaks in the range 2θ from 10° to 90°, by intensity:
32.11 deg, 2.788 Å, I 100, (2 1 1); 33.29 deg, 2.691 Å, I 25, (0 0 2); 27.37 deg, 3.259 Å, I 23, (2 1 0); 58.75 deg, 1.572 Å, I 18, (2 1 3); 26.49 deg, 3.365 Å, I 14, (2 0 1); 59.99 deg, 1.542 Å, I 14, (1 4 2); 48.37 deg, 1.882 Å, I 13, (1 4 0); 43.62 deg, 2.075 Å, I 13, (2 1 2)

Atomic structure:
```
data_AcNd3Tl3
_symmetry_space_group_name_H-M 'P 63/m'
_symmetry_Int_Tables_number 176
_symmetry_space_group_name_Hall '-P 6c'
_cell_length_a 9.9567
_cell_length_b 9.9567
_cell_length_c 5.3820
_cell_angle_alpha 90.00
_cell_angle_beta 90.00
_cell_angle_gamma 120.00
loop_
_atom_site_label
_atom_site_type_symbol
_atom_site_fract_x
_atom_site_fract_y
_atom_site_fract_z
Ac1 Ac 0.3333 0.6667 0.2500
Nd1 Nd 0.0070 0.7653 0.7500
Tl1 Tl 0.0644 0.4446 0.7500
```

This entry pairs a crystal structure of Ta2Ru4Rh with its calculated X-ray diffraction stick pattern. Radiation: a wavelength of 1.5418 Å. Structure: a crystal structure in Alexandria, relaxed with PBE.
Lines closer than 0.1° are merged.

Principal peaks in the range 2θ from 10° to 90°, by intensity:
35.20 deg, 2.550 Å, I 100, (3 1 1); 45.07 deg, 2.011 Å, I 87, (3 1 3); 38.92 deg, 2.314 Å, I 67, (0 0 4); 39.41 deg, 2.287 Å, I 65, (0 2 2); 40.69 deg, 2.218 Å, I 46, (2 2 1); 43.91 deg, 2.062 Å, I 36, (4 0 2); 61.73 deg, 1.503 Å, I 27, (3 3 1); 21.69 deg, 4.097 Å, I 24, (1 1 1)

Atomic structure:
```
data_Ta2Ru4Rh
_symmetry_space_group_name_H-M 'C m c e'
_symmetry_Int_Tables_number 64
_symmetry_space_group_name_Hall '-C 2ac 2'
_cell_length_a 9.2132
_cell_length_b 5.2604
_cell_length_c 9.2573
_cell_angle_alpha 90.00
_cell_angle_beta 90.00
_cell_angle_gamma 90.00
loop_
_atom_site_label
_atom_site_type_symbol
_atom_site_fract_x
_atom_site_fract_y
_atom_site_fract_z
Ta1 Ta 0.1631 0.0000 0.0000
Ru1 Ru 0.0000 0.1067 0.2147
Ru2 Ru 0.2500 0.1813 0.7500
Rh1 Rh 0.0000 0.0000 0.5000
```

This entry pairs a crystal structure of NaTi3F7 with its calculated X-ray diffraction stick pattern. Radiation: a wavelength of 1.5418 Å. Structure: a crystal structure in Alexandria, relaxed with PBE.
Lines closer than 0.1° are merged.

Principal peaks in the range 2θ from 10° to 90°, by intensity:
29.75 deg, 3.003 Å, I 100, (2 2 0); 29.03 deg, 3.076 Å, I 72, (0 0 2); 49.57 deg, 1.839 Å, I 56, (6 2 -2); 49.10 deg, 1.855 Å, I 40, (2 2 2); 29.40 deg, 3.038 Å, I 37, (4 0 -2); 47.94 deg, 1.898 Å, I 28, (4 0 -4); 59.29 deg, 1.559 Å, I 28, (6 2 0); 58.28 deg, 1.583 Å, I 26, (0 4 2)

Atomic structure:
```
data_NaTi3F7
_symmetry_space_group_name_H-M 'C 1 2/c 1'
_symmetry_Int_Tables_number 15
_cell_length_a 12.7288
_cell_length_b 7.3869
_cell_length_c 7.5914
_cell_angle_alpha 90.00
_cell_angle_beta 125.87
_cell_angle_gamma 90.00
loop_
_symmetry_equiv_pos_as_xyz
'x,y,z'
'-x,-y,-z'
'-x,y,-z+1/2'
'x,-y,z+1/2'
'x+1/2,y+1/2,z'
'-x+1/2,-y+1/2,-z'
'-x+1/2,y+1/2,-z+1/2'
'x+1/2,-y+1/2,z+1/2'
loop_
_atom_site_label
_atom_site_type_symbol
_atom_site_fract_x
_atom_site_fract_y
_atom_site_fract_z
Na1 Na 0.0000 0.0000 0.0000
Ti1 Ti 0.0000 0.5000 0.0000
Ti2 Ti 0.2500 0.2500 0.0000
Ti3 Ti 0.2500 0.2500 0.5000
F1 F 0.0000 0.3711 0.2500
F2 F 0.0867 0.2717 0.9926
F3 F 0.1547 0.0101 0.3831
F4 F 0.1636 0.3005 0.6630
```

This entry pairs a crystal structure of Rb4Ac3SmO8 with its calculated X-ray diffraction stick pattern. Radiation: a wavelength of 1.5418 Å. Structure: a crystal structure in Alexandria, relaxed with PBE.
Lines closer than 0.1° are merged.

Principal peaks in the range 2θ from 10° to 90°, by intensity:
32.47 deg, 2.757 Å, I 100, (0 2 4); 28.41 deg, 3.141 Å, I 91, (2 0 2); 13.33 deg, 6.644 Å, I 45, (0 0 3); 26.84 deg, 3.322 Å, I 39, (0 0 6); 45.57 deg, 1.991 Å, I 35, (2 0 8); 47.59 deg, 1.911 Å, I 35, (2 2 0); 55.47 deg, 1.656 Å, I 32, (2 2 6); 53.68 deg, 1.707 Å, I 19, (0 2 10)

Atomic structure:
```
data_Rb4Ac3SmO8
_symmetry_space_group_name_H-M 'R -3 m'
_symmetry_Int_Tables_number 166
_symmetry_space_group_name_Hall '-R 3 2"'
_cell_length_a 7.6437
_cell_length_b 7.6437
_cell_length_c 19.9321
_cell_angle_alpha 90.00
_cell_angle_beta 90.00
_cell_angle_gamma 120.00
loop_
_atom_site_label
_atom_site_type_symbol
_atom_site_fract_x
_atom_site_fract_y
_atom_site_fract_z
Rb1 Rb 0.0000 0.0000 0.0000
Rb2 Rb 0.0000 0.5000 0.0000
Ac1 Ac 0.0000 0.5000 0.5000
Sm1 Sm 0.0000 0.0000 0.5000
O1 O 0.0000 0.0000 0.2287
O2 O 0.0132 0.5066 0.2274
```

This entry pairs a crystal structure of Na2TlSn2Br7 with its calculated X-ray diffraction stick pattern. Radiation: a wavelength of 1.5418 Å. Structure: a crystal structure in Alexandria, relaxed with PBE.
Lines closer than 0.1° are merged.

Principal peaks in the range 2θ from 10° to 90°, by intensity:
29.82 deg, 2.996 Å, I 100, (2 0 0); 29.49 deg, 3.029 Å, I 89, (0 8 0); 15.16 deg, 5.845 Å, I 86, (0 1 1); 18.41 deg, 4.818 Å, I 74, (1 3 0); 25.61 deg, 3.478 Å, I 71, (1 4 1); 42.44 deg, 2.130 Å, I 65, (2 8 0); 42.57 deg, 2.124 Å, I 54, (2 0 2); 33.51 deg, 2.675 Å, I 40, (1 1 2)

Atomic structure:
```
data_Na2TlSn2Br7
_symmetry_space_group_name_H-M 'I m m 2'
_symmetry_Int_Tables_number 44
_cell_length_a 5.9908
_cell_length_b 24.2355
_cell_length_c 6.0238
_cell_angle_alpha 90.00
_cell_angle_beta 90.00
_cell_angle_gamma 90.00
loop_
_symmetry_equiv_pos_as_xyz
'x,y,z'
'-x,-y,z'
'-x,y,z'
'x,-y,z'
'x+1/2,y+1/2,z+1/2'
'-x+1/2,-y+1/2,z+1/2'
'-x+1/2,y+1/2,z+1/2'
'x+1/2,-y+1/2,z+1/2'
loop_
_atom_site_label
_atom_site_type_symbol
_atom_site_fract_x
_atom_site_fract_y
_atom_site_fract_z
Na1 Na 0.0000 0.2492 0.0000
Tl1 Tl 0.0000 0.0000 0.7034
Sn1 Sn 0.0000 0.3773 0.4890
Br1 Br 0.0000 0.1202 0.9930
Br2 Br 0.0000 0.2553 0.5004
Br3 Br 0.0000 0.3730 0.0270
Br4 Br 0.0000 0.5000 0.4502
```

This entry pairs a crystal structure of Al4OsPb with its calculated X-ray diffraction stick pattern. Radiation: a wavelength of 1.5418 Å. Structure: a crystal structure in Alexandria, relaxed with PBE.
Lines closer than 0.1° are merged.

Principal peaks in the range 2θ from 10° to 90°, by intensity:
33.93 deg, 2.642 Å, I 100, (2 2 0); 40.02 deg, 2.253 Å, I 92, (3 1 1); 20.59 deg, 4.314 Å, I 72, (1 1 1); 60.72 deg, 1.525 Å, I 39, (4 2 2); 64.84 deg, 1.438 Å, I 30, (5 1 1); 71.41 deg, 1.321 Å, I 19, (4 4 0); 53.45 deg, 1.714 Å, I 19, (3 3 1); 81.46 deg, 1.181 Å, I 17, (6 2 0)

Atomic structure:
```
data_Al4OsPb
_symmetry_space_group_name_H-M 'F -4 3 m'
_symmetry_Int_Tables_number 216
_symmetry_space_group_name_Hall 'F -4 2 3'
_cell_length_a 7.4723
_cell_length_b 7.4723
_cell_length_c 7.4723
_cell_angle_alpha 90.00
_cell_angle_beta 90.00
_cell_angle_gamma 90.00
loop_
_atom_site_label
_atom_site_type_symbol
_atom_site_fract_x
_atom_site_fract_y
_atom_site_fract_z
Al1 Al 0.1239 0.1239 0.1239
Os1 Os 0.2500 0.2500 0.7500
Pb1 Pb 0.0000 0.0000 0.5000
```

This entry pairs a crystal structure of Ho3ReO8 with its calculated X-ray diffraction stick pattern. Radiation: a wavelength of 1.5418 Å. Structure: a crystal structure in Alexandria, relaxed with PBE.
Lines closer than 0.1° are merged.

Principal peaks in the range 2θ from 10° to 90°, by intensity:
30.43 deg, 2.937 Å, I 100, (2 1 0); 29.66 deg, 3.012 Å, I 29, (0 2 0); 29.02 deg, 3.077 Å, I 22, (1 1 -4); 29.90 deg, 2.988 Å, I 16, (2 0 -4); 54.43 deg, 1.686 Å, I 13, (2 2 4); 44.52 deg, 2.035 Å, I 13, (2 0 4); 42.62 deg, 2.121 Å, I 11, (2 2 -4); 57.21 deg, 1.610 Å, I 9, (3 1 -8)

Atomic structure:
```
data_Ho3ReO8
_symmetry_space_group_name_H-M 'P 1 21/c 1'
_symmetry_Int_Tables_number 14
_cell_length_a 7.2373
_cell_length_b 6.0241
_cell_length_c 14.4462
_cell_angle_alpha 90.00
_cell_angle_beta 111.49
_cell_angle_gamma 90.00
loop_
_symmetry_equiv_pos_as_xyz
'x,y,z'
'-x,-y,-z'
'-x,y+1/2,-z+1/2'
'x,-y+1/2,z+1/2'
loop_
_atom_site_label
_atom_site_type_symbol
_atom_site_fract_x
_atom_site_fract_y
_atom_site_fract_z
Ho1 Ho 0.0932 0.2408 0.2023
Ho2 Ho 0.1604 0.1978 0.4447
Ho3 Ho 0.3919 0.6892 0.3327
Re1 Re 0.3212 0.7461 0.0901
O1 O 0.0824 0.6944 0.9793
O2 O 0.1482 0.0302 0.8425
O3 O 0.1667 0.6442 0.1706
O4 O 0.1876 0.5302 0.8271
O5 O 0.2481 0.0468 0.0968
O6 O 0.3813 0.0545 0.5876
O7 O 0.4654 0.2053 0.7854
O8 O 0.4765 0.6951 0.5185
```

This entry pairs a crystal structure of Pm5Sn5H with its calculated X-ray diffraction stick pattern. Radiation: a wavelength of 1.5418 Å. Structure: a crystal structure in Alexandria, relaxed with PBE.
Lines closer than 0.1° are merged.

Principal peaks in the range 2θ from 10° to 90°, by intensity:
29.71 deg, 3.007 Å, I 100, (1 1 2); 34.79 deg, 2.579 Å, I 43, (5 1 -1); 37.87 deg, 2.376 Å, I 43, (0 2 0); 35.41 deg, 2.535 Å, I 41, (5 1 1); 33.08 deg, 2.708 Å, I 35, (3 1 -2); 24.05 deg, 3.700 Å, I 22, (4 0 -1); 46.79 deg, 1.941 Å, I 18, (2 0 4); 61.70 deg, 1.503 Å, I 16, (2 2 4)

Atomic structure:
```
data_Pm5Sn5H
_symmetry_space_group_name_H-M 'C 1 2/m 1'
_symmetry_Int_Tables_number 12
_cell_length_a 16.3774
_cell_length_b 4.7514
_cell_length_c 8.0655
_cell_angle_alpha 90.00
_cell_angle_beta 91.96
_cell_angle_gamma 90.00
loop_
_symmetry_equiv_pos_as_xyz
'x,y,z'
'-x,-y,-z'
'-x,y,-z'
'x,-y,z'
'x+1/2,y+1/2,z'
'-x+1/2,-y+1/2,-z'
'-x+1/2,y+1/2,-z'
'x+1/2,-y+1/2,z'
loop_
_atom_site_label
_atom_site_type_symbol
_atom_site_fract_x
_atom_site_fract_y
_atom_site_fract_z
Pm1 Pm 0.0000 0.0000 0.0000
Pm2 Pm 0.1223 0.5000 0.1864
Pm3 Pm 0.1840 0.5000 0.6791
Sn1 Sn 0.0000 0.5000 0.5000
Sn2 Sn 0.1258 0.0000 0.4350
Sn3 Sn 0.1922 0.0000 0.9464
H1 H 0.0000 0.5000 0.0000
```

This entry pairs a crystal structure of Np2AsS5 with its calculated X-ray diffraction stick pattern. Radiation: a wavelength of 1.5418 Å. Structure: a crystal structure in Alexandria, relaxed with PBE.
Lines closer than 0.1° are merged.

Principal peaks in the range 2θ from 10° to 90°, by intensity:
26.66 deg, 3.343 Å, I 100, (1 3 0); 35.75 deg, 2.512 Å, I 82, (1 3 1); 23.59 deg, 3.771 Å, I 64, (2 0 0); 37.22 deg, 2.416 Å, I 63, (2 2 1); 27.44 deg, 3.251 Å, I 49, (1 1 1); 48.72 deg, 1.869 Å, I 44, (1 5 1); 34.43 deg, 2.605 Å, I 42, (2 1 1); 23.38 deg, 3.805 Å, I 41, (0 0 1)

Atomic structure:
```
data_Np2AsS5
_symmetry_space_group_name_H-M 'P b a m'
_symmetry_Int_Tables_number 55
_cell_length_a 7.5428
_cell_length_b 11.1894
_cell_length_c 3.8048
_cell_angle_alpha 90.00
_cell_angle_beta 90.00
_cell_angle_gamma 90.00
loop_
_symmetry_equiv_pos_as_xyz
'x,y,z'
'-x,-y,-z'
'-x,-y,z'
'x,y,-z'
'x+1/2,-y+1/2,-z'
'-x+1/2,y+1/2,z'
'-x+1/2,y+1/2,-z'
'x+1/2,-y+1/2,z'
loop_
_atom_site_label
_atom_site_type_symbol
_atom_site_fract_x
_atom_site_fract_y
_atom_site_fract_z
Np1 Np 0.0408 0.1749 0.0000
As1 As 0.0000 0.5000 0.5000
S1 S 0.0000 0.0000 0.5000
S2 S 0.1671 0.6972 0.5000
S3 S 0.1739 0.4065 0.0000
```

This entry pairs a crystal structure of K3Np3PtS8 with its calculated X-ray diffraction stick pattern. Radiation: a wavelength of 1.5418 Å. Structure: a crystal structure in Alexandria, relaxed with PBE.
Lines closer than 0.1° are merged.

Principal peaks in the range 2θ from 10° to 90°, by intensity:
11.74 deg, 7.539 Å, I 100, (0 0 1); 30.71 deg, 2.911 Å, I 47, (2 2 -2); 26.53 deg, 3.359 Å, I 23, (2 2 -1); 30.79 deg, 2.904 Å, I 23, (4 0 0); 38.48 deg, 2.340 Å, I 23, (4 0 1); 27.41 deg, 3.254 Å, I 22, (2 2 0); 23.60 deg, 3.769 Å, I 18, (0 0 2); 41.54 deg, 2.174 Å, I 17, (2 2 2)

Atomic structure:
```
data_K3Np3PtS8
_symmetry_space_group_name_H-M 'C 1 2/m 1'
_symmetry_Int_Tables_number 12
_cell_length_a 13.5280
_cell_length_b 7.8579
_cell_length_c 8.7802
_cell_angle_alpha 90.00
_cell_angle_beta 120.84
_cell_angle_gamma 90.00
loop_
_symmetry_equiv_pos_as_xyz
'x,y,z'
'-x,-y,-z'
'-x,y,-z'
'x,-y,z'
'x+1/2,y+1/2,z'
'-x+1/2,-y+1/2,-z'
'-x+1/2,y+1/2,-z'
'x+1/2,-y+1/2,z'
loop_
_atom_site_label
_atom_site_type_symbol
_atom_site_fract_x
_atom_site_fract_y
_atom_site_fract_z
K1 K 0.0000 0.0000 0.0000
K2 K 0.2500 0.2500 0.0000
Np1 Np 0.0000 0.5000 0.5000
Np2 Np 0.2500 0.2500 0.5000
Pt1 Pt 0.0000 0.0000 0.5000
S1 S 0.0174 0.2456 0.3062
S2 S 0.2138 0.0000 0.6835
S3 S 0.2349 0.5000 0.7040
```